V4GeS8: simulated X-ray powder pattern (Cu Ka), based on a cell relaxed with PBE.

Crystal structure
abc: 9.698 9.698 9.698
angles: 90.00 90.00 90.00
Space group F-43m (No. 216)
One atom of each set of equivalent atoms:
V1 0.104 0.104 0.396 (multiplicity 16)
Ge1 0.000 0.000 0.000 (multiplicity 4)
S1 0.130 0.130 0.630 (multiplicity 16)
S2 0.137 0.137 0.137 (multiplicity 16)

Most intense lines, 10 to 80 degrees two-theta, in order of rising 2θ:
hkl 1 1 1, 2θ = 15.83°, I = 33.9; hkl 2 0 0, 2θ = 18.30°, I = 42.8; hkl 2 2 0, 2θ = 25.99°, I = 31.2; hkl 3 1 1, 2θ = 30.57°, I = 93.9; hkl 4 0 0, 2θ = 37.08°, I = 87.7; hkl 4 2 2, 2θ = 45.84°, I = 36.6; hkl 5 1 1, 2θ = 48.79°, I = 67.3; hkl 4 4 0, 2θ = 53.45°, I = 100.0